1.
Computed powder X-ray diffraction pattern of Ho4Er5Mg2 for CuKα, from the GGA-PBE geometry in Alexandria.

Cell and atoms:
Lattice parameters (Å, degrees): 17.371 3.429 11.282 90.00 92.78 90.00
Space group C2/m (No. 12)
One atom of each set of equivalent atoms:
Ho  0.023  0.000  0.276 (multiplicity 4)
Ho  0.141  0.500  0.812 (multiplicity 4)
Er  0.000  0.500  0.000 (multiplicity 2)
Er  0.174  0.000  0.075 (multiplicity 4)
Er  0.213  0.000  0.380 (multiplicity 4)
Mg  0.090  0.500  0.532 (multiplicity 4)

Most intense lines, 2θ = 10–80°, sorted by position:
Position (°2θ)	intensity
27.74	90.4
31.56	100.0
32.27	98.9
32.95	90.0
34.67	94.8
38.33	46.4

***

2.
Computed powder X-ray diffraction pattern of Ho8Er2Mg3 for CuKα, from the GGA-PBE geometry in Alexandria.

Cell and atoms:
Lattice parameters (Å, degrees): 14.595 8.609 6.510 90.00 98.59 90.00
Space group C2/m (No. 12)
One atom of each set of equivalent atoms:
Ho  0.089  0.000  0.389 (multiplicity 4)
Ho  0.111  0.184  0.922 (multiplicity 8)
Ho  0.194  0.500  0.289 (multiplicity 4)
Er  0.208  0.500  0.790 (multiplicity 4)
Mg  0.000  0.335  0.500 (multiplicity 4)
Mg  0.000  0.500  0.000 (multiplicity 2)

Most intense lines, 2θ = 10–80°, sorted by position:
Position (°2θ)	intensity
24.88	21.5
32.10	44.0
32.75	100.0
33.78	20.5
35.17	26.3
62.86	23.6

***

3.
Computed powder X-ray diffraction pattern of Ho2Er7Mg for CuKα, from the GGA-PBE geometry in Alexandria.

Cell and atoms:
Lattice parameters (Å, degrees): 8.620 16.277 5.293 90.00 90.00 90.00
Space group Cmmm (No. 65)
One atom of each set of equivalent atoms:
Ho  0.000  0.205  0.000 (multiplicity 4)
Er  0.000  0.000  0.000 (multiplicity 2)
Er  0.000  0.299  0.500 (multiplicity 4)
Er  0.178  0.393  0.000 (multiplicity 8)
Mg  0.000  0.500  0.500 (multiplicity 2)

Most intense lines, 2θ = 10–80°, sorted by position:
Position (°2θ)	intensity
16.75	48.4
30.21	24.2
33.93	100.0
35.99	37.1
46.01	15.3
63.55	16.5